# 1
For Ca4Fe12Sb, the GGA-PBE geometry in Alexandria gives the theoretical powder XRD pattern in this record (Cu Kα).

Main lines, by angle (2θ = 15–90°):
d 4.438, 2θ 20.01, I 17
d 3.138, 2θ 28.44, I 35
d 2.807, 2θ 31.88, I 100
d 2.372, 2θ 37.92, I 42
d 1.741, 2θ 52.57, I 68
d 1.370, 2θ 68.50, I 19

Crystal structure
```
Ca4Fe12Sb
1.0
-4.438 4.438 4.438
4.438 -4.438 4.438
4.438 4.438 -4.438
Ca Fe Sb
4 12 1
direct
0.000 0.000 0.500 Ca
0.000 0.500 0.000 Ca
0.500 0.000 0.000 Ca
0.500 0.500 0.500 Ca
0.127 0.505 0.378 Fe
0.127 0.749 0.622 Fe
0.251 0.378 0.873 Fe
0.378 0.127 0.505 Fe
0.378 0.873 0.251 Fe
0.495 0.622 0.873 Fe
0.505 0.378 0.127 Fe
0.622 0.127 0.749 Fe
0.622 0.873 0.495 Fe
0.749 0.622 0.127 Fe
0.873 0.251 0.378 Fe
0.873 0.495 0.622 Fe
0.000 0.000 0.000 Sb
```

---

# 2
For Li3Hg4Sb, the GGA-PBE geometry in Alexandria gives the theoretical powder XRD pattern in this record (Cu Kα).

Main lines, by angle (2θ = 15–90°):
d 4.579, 2θ 19.38, I 43
d 3.427, 2θ 26.00, I 49
d 3.384, 2θ 26.34, I 50
d 3.336, 2θ 26.72, I 100
d 2.329, 2θ 38.65, I 41
d 1.910, 2θ 47.61, I 43

Crystal structure
```
Li3Hg4Sb
1.0
3.336 0.000 0.000
-0.002 4.659 0.000
-0.221 -2.170 12.476
Li Hg Sb
3 4 1
direct
0.000 0.000 0.000 Li
0.004 0.290 0.584 Li
0.996 0.710 0.416 Li
0.488 0.623 0.231 Hg
0.493 0.198 0.393 Hg
0.507 0.802 0.607 Hg
0.512 0.377 0.769 Hg
0.500 0.500 0.000 Sb
```

---

# 3
For La2Co, the GGA-PBE geometry in Alexandria gives the theoretical powder XRD pattern in this record (Cu Kα).

Main lines, by angle (2θ = 15–90°):
d 3.637, 2θ 24.48, I 22
d 3.095, 2θ 28.84, I 42
d 2.949, 2θ 30.30, I 48
d 2.652, 2θ 33.80, I 100
d 1.737, 2θ 52.69, I 16
d 1.639, 2θ 56.10, I 23

Crystal structure
```
La2Co
1.0
3.756 0.000 0.000
0.000 14.543 0.000
0.000 0.000 5.899
La Co
8 4
direct
0.000 0.050 0.250 La
0.000 0.215 0.750 La
0.000 0.785 0.250 La
0.000 0.950 0.750 La
0.500 0.285 0.250 La
0.500 0.450 0.750 La
0.500 0.550 0.250 La
0.500 0.715 0.750 La
0.000 0.405 0.250 Co
0.000 0.595 0.750 Co
0.500 0.095 0.750 Co
0.500 0.905 0.250 Co
```

---

# 4
For RbNa2Tb, the GGA-PBE geometry in Alexandria gives the theoretical powder XRD pattern in this record (Cu Kα).

Main lines, by angle (2θ = 15–90°):
d 3.629, 2θ 24.53, I 54
d 3.182, 2θ 28.04, I 100
d 3.085, 2θ 28.95, I 63
d 2.769, 2θ 32.33, I 42
d 2.587, 2θ 34.67, I 51
d 2.236, 2θ 40.34, I 41

Crystal structure
```
RbNa2Tb
1.0
3.714 0.000 0.000
-1.857 3.216 0.000
0.000 0.000 43.551
Rb Na Tb
3 6 3
direct
0.000 0.000 0.000 Rb
0.333 0.667 0.667 Rb
0.667 0.333 0.333 Rb
0.000 0.000 0.421 Na
0.000 0.000 0.579 Na
0.333 0.667 0.088 Na
0.333 0.667 0.246 Na
0.667 0.333 0.754 Na
0.667 0.333 0.912 Na
0.000 0.000 0.500 Tb
0.333 0.667 0.167 Tb
0.667 0.333 0.833 Tb
```